No. 1
This entry pairs a crystal structure of Rb2MgPb2 with its computed X-ray diffraction stick pattern. Radiation: CuKα. Structure: the PBE geometry in Alexandria.
Lines closer than 0.1° are merged.

Atomic structure:
```
data_Rb2MgPb2
_space_group_name_H-M_alt 'C 1 2/m 1'
_space_group_IT_number 12
_space_group_name_Hall '-C 2y'
_cell_length_a 12.986
_cell_length_b 5.599
_cell_length_c 12.488
_cell_angle_alpha 90.00
_cell_angle_beta 116.00
_cell_angle_gamma 90.00
loop_
_atom_site_label
_atom_site_fract_x
_atom_site_fract_y
_atom_site_fract_z
Rb1 0.095 0.000 0.387
Rb2 0.176 0.500 0.190
Mg1 0.152 0.500 0.875
Pb1 0.091 0.000 0.949
Pb2 0.105 0.500 0.612
```

The 10 most intense peaks (10 to 90 degrees two-theta), in order of rising 2θ:
2theta  intensity  (hkl)
17.85  64  1 1 -1
20.62  31  1 1 1
25.88  95  1 1 2
26.68  100  3 1 -2
30.64  31  4 0 0
31.96  67  0 2 0
33.65  27  2 0 3
34.10  38  3 1 -4
44.87  22  4 2 0
47.10  22  2 2 3

=====

No. 2
This entry pairs a crystal structure of Ac2ScBi2O2 with its computed X-ray diffraction stick pattern. Radiation: CuKα. Structure: the PBE geometry in Alexandria.
Lines closer than 0.1° are merged.

Atomic structure:
```
data_Ac2ScBi2O2
_space_group_name_H-M_alt 'I 4/m m m'
_space_group_IT_number 139
_space_group_name_Hall '-I 4 2'
_cell_length_a 4.382
_cell_length_b 4.382
_cell_length_c 17.585
_cell_angle_alpha 90.00
_cell_angle_beta 90.00
_cell_angle_gamma 90.00
loop_
_atom_site_label
_atom_site_fract_x
_atom_site_fract_y
_atom_site_fract_z
Ac1 0.000 0.000 0.107
Sc1 0.000 0.000 0.500
Bi1 0.000 0.000 0.313
O1 0.000 0.500 0.000
```

The 10 most intense peaks (10 to 90 degrees two-theta), in order of rising 2θ:
2theta  intensity  (hkl)
28.82  70  1 1 0
32.65  100  1 0 5
35.45  17  1 1 4
41.21  32  2 0 0
51.19  12  1 0 9
53.54  51  2 1 5
60.54  12  1 1 10
67.61  13  3 1 0
69.72  12  3 0 5
84.32  14  3 2 5

=====

Question: Which formula does entry 1 have?
Answer: Rb2MgPb2

=====

Question: Number 2 is which compound?
Answer: Ac2ScBi2O2